No. 1
Starting from a DFT-relaxed cell (GGA-PBE, Alexandria), the powder diffraction line list of La4Mg2C was simulated for Cu Kα.
Lines closer than 0.1° are merged.

Structure:
Cell: 5.3294 5.3294 16.0632 Å, 90.00 90.00 90.00°
Space group I4/mmm (No. 139)
Asymmetric unit:
La 0.0000 0.0000 0.1553 (multiplicity 4)
La 0.0000 0.5000 0.0000 (multiplicity 4)
Mg 0.0000 0.0000 0.3671 (multiplicity 4)
C 0.0000 0.0000 0.0000 (multiplicity 2)

The 10 most intense peaks (2θ from 15° to 90°), most intense first:
2theta, d [Å], I_rel, hkl
32.58, 2.748, 100, 1 1 4
26.12, 3.412, 90, 1 1 2
33.63, 2.665, 64, 2 0 0
23.56, 3.777, 40, 1 0 3
48.18, 1.889, 37, 2 0 6
59.48, 1.554, 35, 3 1 4
17.53, 5.058, 29, 1 0 1
33.47, 2.677, 26, 0 0 6
48.30, 1.884, 23, 2 2 0
55.73, 1.649, 22, 3 1 2


No. 2
Starting from a DFT-relaxed cell (GGA-PBE, Alexandria), the powder diffraction line list of La2Mn17C2 was simulated for Cu Kα.
Lines closer than 0.1° are merged.

Structure:
Cell: 9.6603 8.8059 6.4906 Å, 90.00 98.35 90.00°
Space group C2/m (No. 12)
Asymmetric unit:
La 0.1391 0.0000 0.3414 (multiplicity 4)
Mn 0.0000 0.2353 0.0000 (multiplicity 4)
Mn 0.0000 0.5000 0.5000 (multiplicity 2)
Mn 0.0959 0.5000 0.9066 (multiplicity 4)
Mn 0.1026 0.2685 0.6638 (multiplicity 8)
Mn 0.1448 0.3624 0.2811 (multiplicity 8)
Mn 0.1572 0.0000 0.8721 (multiplicity 4)
Mn 0.2500 0.2500 0.0000 (multiplicity 4)
C 0.2500 0.2500 0.5000 (multiplicity 4)

The 10 most intense peaks (2θ from 15° to 90°), most intense first:
2theta, d [Å], I_rel, hkl
41.84, 2.159, 100, 3 3 0
41.51, 2.176, 82, 2 2 2
43.81, 2.066, 57, 4 0 -2
42.22, 2.140, 53, 0 0 3
41.00, 2.201, 45, 0 4 0
37.45, 2.401, 45, 2 2 -2
29.82, 2.996, 43, 1 1 -2
35.45, 2.532, 39, 1 3 1
61.50, 1.508, 28, 5 3 -2
31.19, 2.868, 27, 2 0 -2


No. 3
Starting from a DFT-relaxed cell (GGA-PBE, Alexandria), the powder diffraction line list of LaMn5C4 was simulated for Cu Kα.
Lines closer than 0.1° are merged.

Structure:
Cell: 4.9687 6.0802 8.2699 Å, 90.00 100.02 90.00°
Space group P2_1/m (No. 11)
Asymmetric unit:
La 0.0368 0.2500 0.1647 (multiplicity 2)
Mn 0.1006 0.7500 0.2857 (multiplicity 2)
Mn 0.2521 0.0123 0.5291 (multiplicity 4)
Mn 0.4611 0.0415 0.8543 (multiplicity 4)
C 0.0131 0.7500 0.5064 (multiplicity 2)
C 0.3899 0.5253 0.3353 (multiplicity 4)
C 0.5000 0.2500 0.0331 (multiplicity 2)

The 10 most intense peaks (2θ from 15° to 90°), most intense first:
2theta, d [Å], I_rel, hkl
34.74, 2.582, 100, 1 2 0
36.46, 2.464, 66, 2 0 -1
33.00, 2.715, 54, 0 0 3
26.34, 3.383, 39, 0 1 2
34.34, 2.612, 39, 1 1 2
35.49, 2.529, 33, 1 2 -1
29.86, 2.993, 32, 1 1 -2
27.14, 3.286, 29, 1 1 1
36.90, 2.436, 27, 0 2 2
47.71, 1.906, 23, 2 2 0